The following is a calculated XRD peak list of SrCa3Mn4O12. It was derived from a cell relaxed with PBE+U, using Cu Kα (λ = 1.5418 Å).
No peak broadening, texture or thermal motion is included.

Principal peaks in the range 2θ from 10° to 80°, low angle first:
Position (°2θ)  intensity  hkl
33.1  100.0  1 1 0
40.8  8.7  1 1 4
47.4  15.8  0 0 8
47.6  31.6  2 0 0
59.0  12.0  1 1 8
59.2  23.6  2 1 4
69.4  16.9  2 0 8
79.2  9.8  3 1 0

Structure:
Lattice parameters (Å, degrees): 3.8234 3.8234 15.3481 90.00 90.00 90.00
Space group P4/mmm (No. 123)
One atom of each set of equivalent atoms:
Sr1 0.0000 0.0000 0.0000 [1 per cell]
Ca1 0.0000 0.0000 0.2501 [2 per cell]
Ca2 0.0000 0.0000 0.5000 [1 per cell]
Mn1 0.5000 0.5000 0.1269 [2 per cell]
Mn2 0.5000 0.5000 0.3756 [2 per cell]
O1 0.0000 0.5000 0.1307 [4 per cell]
O2 0.0000 0.5000 0.3771 [4 per cell]
O3 0.5000 0.5000 0.0000 [1 per cell]
O4 0.5000 0.5000 0.2524 [2 per cell]
O5 0.5000 0.5000 0.5000 [1 per cell]